Record 1
The following is a theoretical X-ray powder pattern of Ce9Sm4In11. It was derived from a PBE-relaxed structure, using Cu Kα (λ = 1.5418 Å).
Neutral-atom scattering factors, no anomalous dispersion.

Peak list (10 most intense, 2θ = 10–90°, most intense first)
- 31.7°, intensity 100.0
- 34.3°, intensity 74.0
- 33.4°, intensity 59.4
- 34.7°, intensity 50.5
- 35.8°, intensity 44.3
- 56.8°, intensity 41.9
- 39.2°, intensity 30.4
- 63.5°, intensity 27.5
- 64.0°, intensity 23.6
- 31.5°, intensity 23.0

Structural model:
```
24
Lattice="7.664 -12.532 0.000 7.664 12.532 0.000 0.000 0.000 3.498" Properties=species:S:1:pos:R:3 pbc="T T T"
Ce 0.000 0.000 0.000
Ce 6.264 6.978 0.000
Ce 6.044 2.339 0.000
Ce 9.065 6.978 0.000
Ce 6.044 -2.339 0.000
Ce 9.285 2.339 0.000
Ce 6.264 -6.978 0.000
Ce 9.285 -2.339 0.000
Ce 9.065 -6.978 0.000
Sm 2.736 2.263 0.000
Sm 2.736 -2.263 0.000
Sm 12.593 2.263 0.000
Sm 12.593 -2.263 0.000
In 4.277 4.722 1.749
In 7.664 9.601 1.749
In 4.321 0.000 1.749
In 7.664 4.601 1.749
In 4.277 -4.722 1.749
In 7.664 0.000 1.749
In 11.052 4.722 1.749
In 7.664 -4.601 1.749
In 11.008 0.000 1.749
In 7.664 -9.601 1.749
In 11.052 -4.722 1.749
```



Record 2
The following is a theoretical X-ray powder pattern of RbNa9Au3. It was derived from a PBE-relaxed structure, using Cu Kα (λ = 1.5418 Å).
Neutral-atom scattering factors, no anomalous dispersion.

Peak list (10 most intense, 2θ = 10–90°, most intense first)
- 16.2°, intensity 100.0
- 32.8°, intensity 58.1
- 32.4°, intensity 53.4
- 22.8°, intensity 43.5
- 32.2°, intensity 41.2
- 36.5°, intensity 35.0
- 16.0°, intensity 29.3
- 23.2°, intensity 26.9
- 36.2°, intensity 24.6
- 11.6°, intensity 23.5

Structural model:
```
13
Lattice="3.218 -7.793 0.000 3.218 7.793 0.000 -3.173 0.000 7.657" Properties=species:S:1:pos:R:3 pbc="T T T"
Rb 0.000 0.000 0.000
Na 0.109 5.034 5.196
Na -0.070 1.824 5.997
Na 3.154 5.034 2.461
Na -0.070 -1.824 5.997
Na 1.632 0.000 3.829
Na 3.334 1.824 1.660
Na 0.109 -5.034 5.196
Na 3.334 -1.824 1.660
Na 3.154 -5.034 2.461
Au -1.586 0.000 3.829
Au 1.609 3.897 0.000
Au 1.609 -3.897 0.000
```